No. 1
Simulated X-ray powder pattern
Compound: TiSO6
Radiation: Cu Kα (weighted mean of Kα1 and Kα2)
Structure: DFT lattice parameters and positions (PBE)
Kinematic intensities with the Lorentz-polarization factor, no thermal factor.

The 10 most intense peaks (10 to 90 degrees two-theta), sorted by position:
2θ/deg	d [Å]	intensity
12.82	6.908	100
15.71	5.640	11
18.73	4.738	30
19.59	4.532	20
21.13	4.205	15
21.81	4.074	14
23.03	3.862	12
25.21	3.533	27
25.79	3.454	13
30.90	2.894	33

Structural model:
a b c (Å): 11.279 5.300 8.738
angles (deg): 90.00 90.00 90.00
Sites, in units of the cell vectors:
1 Ti 0.109 0.250 0.029
2 Ti 0.391 0.750 0.529
3 Ti 0.609 0.250 0.471
4 Ti 0.891 0.750 0.971
5 S 0.212 0.750 0.217
6 S 0.288 0.250 0.717
7 S 0.712 0.750 0.283
8 S 0.788 0.250 0.783
9 O 0.000 0.000 0.000
10 O 0.000 0.500 0.000
11 O 0.081 0.250 0.254
12 O 0.095 0.750 0.287
13 O 0.190 0.250 0.833
14 O 0.233 0.521 0.118
15 O 0.233 0.979 0.118
16 O 0.267 0.021 0.618
17 O 0.267 0.479 0.618
18 O 0.310 0.750 0.333
19 O 0.405 0.250 0.787
20 O 0.419 0.750 0.754
21 O 0.500 0.000 0.500
22 O 0.500 0.500 0.500
23 O 0.581 0.250 0.246
24 O 0.595 0.750 0.213
25 O 0.690 0.250 0.667
26 O 0.733 0.521 0.382
27 O 0.733 0.979 0.382
28 O 0.767 0.021 0.882
29 O 0.767 0.479 0.882
30 O 0.810 0.750 0.167
31 O 0.905 0.250 0.713
32 O 0.919 0.750 0.746

No. 2
Simulated X-ray powder pattern
Compound: Sr2CaI6
Radiation: Cu Kα (weighted mean of Kα1 and Kα2)
Structure: DFT lattice parameters and positions (PBE)
Kinematic intensities with the Lorentz-polarization factor, no thermal factor.

The 10 most intense peaks (10 to 90 degrees two-theta), sorted by position:
2θ/deg	d [Å]	intensity
24.77	3.595	11
25.12	3.546	100
33.23	2.696	38
38.25	2.353	34
43.82	2.066	21
46.10	1.969	12
46.31	1.961	19
51.55	1.773	11
61.57	1.506	16
65.33	1.428	13

Structural model:
a b c (Å): 8.151 8.151 7.190
angles (deg): 90.00 90.00 120.00
Sites, in units of the cell vectors:
1 Sr 0.333 0.667 0.000
2 Sr 0.667 0.333 0.000
3 Ca 0.000 0.000 0.500
4 I 0.000 0.329 0.742
5 I 0.000 0.671 0.258
6 I 0.329 0.000 0.742
7 I 0.329 0.329 0.258
8 I 0.671 0.000 0.258
9 I 0.671 0.671 0.742

No. 3
Simulated X-ray powder pattern
Compound: Sr3CaS4
Radiation: Cu Kα (weighted mean of Kα1 and Kα2)
Structure: DFT lattice parameters and positions (PBE)
Kinematic intensities with the Lorentz-polarization factor, no thermal factor.

The 10 most intense peaks (10 to 90 degrees two-theta), sorted by position:
2θ/deg	d [Å]	intensity
25.79	3.454	29
29.87	2.991	100
42.75	2.115	71
50.60	1.804	15
53.02	1.727	24
62.05	1.496	11
68.35	1.372	6
70.38	1.338	31
78.29	1.221	23
84.07	1.151	5

Structural model:
a b c (Å): 7.327 7.327 4.230
angles (deg): 90.00 90.00 109.46
Sites, in units of the cell vectors:
1 Sr 0.000 0.000 0.000
2 Sr 0.000 0.500 0.500
3 Sr 0.500 0.000 0.500
4 Ca 0.500 0.500 0.000
5 S 0.255 0.745 0.000
6 S 0.259 0.259 0.500
7 S 0.741 0.741 0.500
8 S 0.745 0.255 0.000